Calculated powder diffraction line list
Compound: YTeAuO
Radiation: Cu Kα X-rays
Structure: DFT lattice parameters and positions (PBE)
Kinematic intensities with the Lorentz-polarization factor, no thermal factor.

Crystal structure
a = 5.6734 Å, b = 5.6959 Å, c = 10.1893 Å
α = 90.00°, β = 90.00°, γ = 90.00°
Element x y z (fractional)
Y1 0.0000 0.0000 0.0000
Y2 0.0000 0.5000 0.2118
Y3 0.5000 0.0000 0.2118
Y4 0.5000 0.5000 0.0000
Te1 0.0000 0.0000 0.3862
Te2 0.0000 0.5000 0.8196
Te3 0.5000 0.0000 0.8196
Te4 0.5000 0.5000 0.3862
Au1 0.2070 0.1577 0.6150
Au2 0.2930 0.6577 0.6150
Au3 0.7070 0.3423 0.6150
Au4 0.7930 0.8423 0.6150
O1 0.2494 0.2482 0.1045
O2 0.2506 0.7482 0.1045
O3 0.7494 0.2518 0.1045
O4 0.7506 0.7518 0.1045

The 10 most intense peaks (2θ from 10° to 80°), in order of rising 2θ:
2θ = 17.41°, I 56, (0 0 2)
2θ = 28.28°, I 90, (1 1 2)
2θ = 32.77°, I 63, (2 0 1)
2θ = 34.57°, I 100, (1 1 3)
2θ = 35.25°, I 71, (0 0 4)
2θ = 36.25°, I 93, (2 0 2)
2θ = 36.40°, I 91, (1 2 1)
2θ = 39.60°, I 73, (1 2 2)
2θ = 44.48°, I 100, (0 0 5)
2θ = 45.11°, I 58, (2 2 0)